# 1
Theoretical X-ray powder pattern of Sm2Tm3S6 for Cu Kα (λ = 1.5418 Å), from a crystal structure in Alexandria, relaxed with PBE.
Intensities are scaled so that the largest is 100.

Largest 12 diffraction maxima, in order of rising 2θ, 2θ from 10° to 80°:
(0 0 1), d = 6.419 Å, rel. 12.2
(0 0 2), d = 3.210 Å, rel. 19.9
(2 0 0), d = 3.186 Å, rel. 51.5
(1 3 1), d = 2.764 Å, rel. 100.0
(2 0 2), d = 1.960 Å, rel. 36.0
(3 3 -1), d = 1.951 Å, rel. 23.8
(0 6 0), d = 1.945 Å, rel. 11.8
(3 3 1), d = 1.667 Å, rel. 14.3
(0 6 2), d = 1.662 Å, rel. 11.3
(2 6 -2), d = 1.591 Å, rel. 12.2
(3 3 3), d = 1.239 Å, rel. 10.8
(5 3 -3), d = 1.234 Å, rel. 10.6

Crystal structure
```
data_Sm2Tm3S6
_chemical_formula_sum 'Sm4 Tm6 S12'
_cell_length_a 6.7658
_cell_length_b 11.6697
_cell_length_c 6.8011
_cell_angle_alpha 90.00
_cell_angle_beta 109.30
_cell_angle_gamma 90.00
_space_group_name_H-M_alt 'C 1 2/m 1'
_space_group_IT_number 12
_space_group_name_Hall '-C 2y'
loop_
_atom_site_label
_atom_site_fract_x
_atom_site_fract_y
_atom_site_fract_z
Sm1 0.0000 0.1652 0.0000
Tm1 0.0000 0.0000 0.5000
Tm2 0.0000 0.3362 0.5000
S1 0.2433 0.5000 0.7414
S2 0.2466 0.1658 0.7366
```

# 2
Theoretical X-ray powder pattern of BaLiPd for Cu Kα (λ = 1.5418 Å), from a crystal structure in Alexandria, relaxed with PBE.
Intensities are scaled so that the largest is 100.

Largest 12 diffraction maxima, in order of rising 2θ, 2θ from 10° to 80°:
(1 0 0), d = 6.121 Å, rel. 47.2
(1 1 -1), d = 4.342 Å, rel. 37.9
(1 1 1), d = 3.424 Å, rel. 28.2
(0 1 2), d = 3.291 Å, rel. 50.0
(2 0 0), d = 3.060 Å, rel. 47.4
(2 0 -2), d = 3.034 Å, rel. 29.7
(1 2 -1), d = 2.766 Å, rel. 100.0
(2 1 -2), d = 2.726 Å, rel. 38.3
(1 1 -3), d = 2.551 Å, rel. 42.0
(1 2 1), d = 2.477 Å, rel. 41.7
(2 2 1), d = 1.964 Å, rel. 26.7
(3 1 -3), d = 1.925 Å, rel. 34.8

Crystal structure
```
data_BaLiPd
_chemical_formula_sum 'Ba4 Li4 Pd4'
_cell_length_a 6.6265
_cell_length_b 6.2155
_cell_length_c 8.4006
_cell_angle_alpha 90.00
_cell_angle_beta 112.53
_cell_angle_gamma 90.00
_space_group_name_H-M_alt 'P 1 21/c 1'
_space_group_IT_number 14
_space_group_name_Hall '-P 2ybc'
loop_
_atom_site_label
_atom_site_fract_x
_atom_site_fract_y
_atom_site_fract_z
Ba1 0.1866 0.1171 0.3714
Li1 0.4146 0.6040 0.3172
Pd1 0.2030 0.6259 0.5349
```